# 1
Starting from a DFT-relaxed cell (PBE, the Materials Project), the X-ray powder pattern of Na2Ca3Al2F14 was computed for Cu Kα, 1.54184 Å.

Structure:
```
data_Na2Ca3Al2F14
_chemical_formula_sum 'Na4 Ca6 Al4 F28'
_symmetry_space_group_name_H-M 'P 1'
_symmetry_Int_Tables_number 1
_cell_length_a 8.9829
_cell_length_b 8.9829
_cell_length_c 8.9829
_cell_angle_alpha 109.47
_cell_angle_beta 109.47
_cell_angle_gamma 109.47
loop_
_symmetry_equiv_pos_as_xyz
'x,y,z'
loop_
_atom_site_label
_atom_site_type_symbol
_atom_site_fract_x
_atom_site_fract_y
_atom_site_fract_z
_atom_site_occupancy
Na1 Na 0.0000 0.1697 0.5000 1
Na2 Na 0.1697 0.5000 0.0000 1
Na3 Na 0.3303 0.3303 0.3303 1
Na4 Na 0.5000 0.0000 0.1697 1
Ca1 Ca 0.0334 0.7834 0.2500 1
Ca2 Ca 0.2500 0.0334 0.7834 1
Ca3 Ca 0.4666 0.7166 0.7500 1
Ca4 Ca 0.7166 0.7500 0.4666 1
Ca5 Ca 0.7500 0.4666 0.7166 1
Ca6 Ca 0.7834 0.2500 0.0334 1
Al1 Al 0.0000 0.4964 0.5000 1
Al2 Al 0.0036 0.0036 0.0036 1
Al3 Al 0.4964 0.5000 0.0000 1
Al4 Al 0.5000 0.0000 0.4964 1
F1 F 0.0000 0.9224 0.5000 1
F2 F 0.0012 0.5511 0.3235 1
F3 F 0.0554 0.2417 0.0735 1
F4 F 0.0735 0.0554 0.2417 1
F5 F 0.1765 0.7276 0.6777 1
F6 F 0.1864 0.4446 0.5181 1
F7 F 0.2417 0.0735 0.0554 1
F8 F 0.2583 0.3136 0.8317 1
F9 F 0.3136 0.8317 0.2583 1
F10 F 0.3235 0.0012 0.5511 1
F11 F 0.4265 0.6683 0.9819 1
F12 F 0.4446 0.5181 0.1864 1
F13 F 0.4988 0.8223 0.5499 1
F14 F 0.5000 0.0000 0.9224 1
F15 F 0.5181 0.1864 0.4446 1
F16 F 0.5499 0.4988 0.8223 1
F17 F 0.5511 0.3235 0.0012 1
F18 F 0.5776 0.5776 0.5776 1
F19 F 0.6683 0.9819 0.4265 1
F20 F 0.6777 0.1765 0.7276 1
F21 F 0.7276 0.6777 0.1765 1
F22 F 0.7724 0.9489 0.9501 1
F23 F 0.8223 0.5499 0.4988 1
F24 F 0.8317 0.2583 0.3136 1
F25 F 0.9224 0.5000 0.0000 1
F26 F 0.9489 0.9501 0.7724 1
F27 F 0.9501 0.7724 0.9489 1
F28 F 0.9819 0.4265 0.6683 1
```

Peak list (10 most intense, 10 to 90 degrees two-theta, by intensity)
| two_theta | intensity |
| --- | --- |
| 44.5 | 100.0 |
| 21.0 | 88.5 |
| 29.8 | 86.6 |
| 49.7 | 79.3 |
| 40.8 | 73.9 |
| 48.0 | 73.1 |
| 27.2 | 64.4 |
| 54.5 | 56.7 |
| 24.3 | 49.8 |
| 59.1 | 37.5 |

# 2
Starting from a DFT-relaxed cell (PBE, the Materials Project), the X-ray powder pattern of NaCaAlOF6 was computed for Cu Kα, 1.54184 Å.

Structure:
```
data_NaCaAlOF6
_chemical_formula_sum 'Na4 Ca4 Al4 O4 F24'
_symmetry_space_group_name_H-M 'P 1'
_symmetry_Int_Tables_number 1
_cell_length_a 5.6142
_cell_length_b 5.7205
_cell_length_c 16.4117
_cell_angle_alpha 90.00
_cell_angle_beta 91.46
_cell_angle_gamma 90.00
loop_
_symmetry_equiv_pos_as_xyz
'x,y,z'
loop_
_atom_site_label
_atom_site_type_symbol
_atom_site_fract_x
_atom_site_fract_y
_atom_site_fract_z
_atom_site_occupancy
Na1 Na 0.2491 0.1622 0.2513 1
Na2 Na 0.2491 0.3378 0.7513 1
Na3 Na 0.7509 0.6622 0.2487 1
Na4 Na 0.7509 0.8378 0.7487 1
Ca1 Ca 0.2472 0.7175 0.1110 1
Ca2 Ca 0.2472 0.7825 0.6110 1
Ca3 Ca 0.7528 0.2175 0.3890 1
Ca4 Ca 0.7528 0.2825 0.8890 1
Al1 Al 0.2639 0.6985 0.3643 1
Al2 Al 0.2639 0.8015 0.8643 1
Al3 Al 0.7361 0.1985 0.1357 1
Al4 Al 0.7361 0.3015 0.6357 1
O1 O 0.0851 0.0670 0.4951 1
O2 O 0.0851 0.4330 0.9951 1
O3 O 0.9149 0.5670 0.0049 1
O4 O 0.9149 0.9330 0.5049 1
F1 F 0.0086 0.1226 0.6532 1
F2 F 0.0086 0.3774 0.1532 1
F3 F 0.0821 0.0681 0.8459 1
F4 F 0.0821 0.4319 0.3459 1
F5 F 0.2497 0.6619 0.4731 1
F6 F 0.2497 0.8381 0.9731 1
F7 F 0.3058 0.7198 0.2518 1
F8 F 0.3058 0.7802 0.7518 1
F9 F 0.4329 0.5245 0.8743 1
F10 F 0.4329 0.9755 0.3743 1
F11 F 0.4583 0.0347 0.1350 1
F12 F 0.4583 0.4653 0.6350 1
F13 F 0.5417 0.5347 0.3650 1
F14 F 0.5417 0.9653 0.8650 1
F15 F 0.5671 0.0245 0.6257 1
F16 F 0.5671 0.4755 0.1257 1
F17 F 0.6942 0.2198 0.2482 1
F18 F 0.6942 0.2802 0.7482 1
F19 F 0.7503 0.1619 0.0269 1
F20 F 0.7503 0.3381 0.5269 1
F21 F 0.9179 0.5681 0.6541 1
F22 F 0.9179 0.9319 0.1541 1
F23 F 0.9914 0.6226 0.8468 1
F24 F 0.9914 0.8774 0.3468 1
```

Peak list (10 most intense, 10 to 90 degrees two-theta, by intensity)
| two_theta | intensity |
| --- | --- |
| 22.2 | 100.0 |
| 45.3 | 42.1 |
| 21.7 | 33.4 |
| 44.2 | 33.1 |
| 30.9 | 23.2 |
| 45.7 | 21.0 |
| 10.8 | 20.5 |
| 31.5 | 17.3 |
| 41.9 | 16.9 |
| 45.9 | 16.0 |

# 3
Starting from a DFT-relaxed cell (PBE, the Materials Project), the X-ray powder pattern of Ca2AlPbOF8 was computed for Cu Kα, 1.54184 Å.

Structure:
```
data_Ca2AlPbOF8
_chemical_formula_sum 'Ca4 Al2 Pb2 O2 F16'
_symmetry_space_group_name_H-M 'P 1'
_symmetry_Int_Tables_number 1
_cell_length_a 5.5492
_cell_length_b 5.5566
_cell_length_c 12.0752
_cell_angle_alpha 90.11
_cell_angle_beta 102.29
_cell_angle_gamma 94.41
loop_
_symmetry_equiv_pos_as_xyz
'x,y,z'
loop_
_atom_site_label
_atom_site_type_symbol
_atom_site_fract_x
_atom_site_fract_y
_atom_site_fract_z
_atom_site_occupancy
Ca1 Ca 0.0000 0.0000 0.0000 1
Ca2 Ca 0.0864 0.5115 0.2285 1
Ca3 Ca 0.4900 0.4970 0.9966 1
Ca4 Ca 0.5974 0.0248 0.2303 1
Al1 Al 0.2584 0.9472 0.4241 1
Al2 Al 0.8354 0.5504 0.7843 1
Pb1 Pb 0.3080 0.0492 0.7195 1
Pb2 Pb 0.8491 0.4029 0.5164 1
O1 O 0.7865 0.3832 0.3487 1
O2 O 0.9721 0.3585 0.6840 1
F1 F 0.1186 0.1288 0.5153 1
F2 F 0.1329 0.6398 0.8818 1
F3 F 0.1961 0.6939 0.5145 1
F4 F 0.2896 0.1518 0.9031 1
F5 F 0.2951 0.1953 0.3306 1
F6 F 0.2965 0.2736 0.1176 1
F7 F 0.2963 0.7686 0.1109 1
F8 F 0.4124 0.7549 0.3446 1
F9 F 0.5268 0.4643 0.7010 1
F10 F 0.5564 0.0546 0.5158 1
F11 F 0.6889 0.7481 0.8765 1
F12 F 0.7877 0.3024 0.8816 1
F13 F 0.7929 0.7446 0.1111 1
F14 F 0.7955 0.2459 0.1124 1
F15 F 0.8878 0.8142 0.7008 1
F16 F 0.9644 0.8648 0.3279 1
```

Peak list (10 most intense, 10 to 90 degrees two-theta, by intensity)
| two_theta | intensity |
| --- | --- |
| 24.4 | 100.0 |
| 23.9 | 94.3 |
| 29.3 | 64.3 |
| 45.3 | 62.9 |
| 26.2 | 61.0 |
| 22.1 | 55.2 |
| 30.3 | 46.9 |
| 22.2 | 46.7 |
| 19.8 | 46.4 |
| 33.1 | 44.6 |

# 4
Starting from a DFT-relaxed cell (PBE, the Materials Project), the X-ray powder pattern of Ca3TiAl2Si3O13F2 was computed for Cu Kα, 1.54184 Å.

Structure:
```
data_Ca3TiAl2Si3O13F2
_chemical_formula_sum 'Ca6 Ti2 Al4 Si6 O26 F4'
_symmetry_space_group_name_H-M 'P 1'
_symmetry_Int_Tables_number 1
_cell_length_a 5.4229
_cell_length_b 7.0782
_cell_length_c 14.8195
_cell_angle_alpha 84.00
_cell_angle_beta 87.21
_cell_angle_gamma 75.35
loop_
_symmetry_equiv_pos_as_xyz
'x,y,z'
loop_
_atom_site_label
_atom_site_type_symbol
_atom_site_fract_x
_atom_site_fract_y
_atom_site_fract_z
_atom_site_occupancy
Ca1 Ca 0.0595 0.3591 0.3877 1
Ca2 Ca 0.2814 0.3026 0.9461 1
Ca3 Ca 0.3866 0.0258 0.7250 1
Ca4 Ca 0.6134 0.9742 0.2750 1
Ca5 Ca 0.7186 0.6974 0.0539 1
Ca6 Ca 0.9405 0.6409 0.6123 1
Ti1 Ti 0.5000 0.0000 0.5000 1
Ti2 Ti 0.5000 0.5000 0.5000 1
Al1 Al 0.1665 0.8320 0.1643 1
Al2 Al 0.1667 0.3327 0.1651 1
Al3 Al 0.8333 0.6673 0.8349 1
Al4 Al 0.8335 0.1680 0.8357 1
Si1 Si 0.0779 0.8551 0.3893 1
Si2 Si 0.2521 0.8126 0.9387 1
Si3 Si 0.4118 0.5231 0.7331 1
Si4 Si 0.5882 0.4769 0.2669 1
Si5 Si 0.7479 0.1874 0.0613 1
Si6 Si 0.9221 0.1449 0.6107 1
O1 O 0.0422 0.6788 0.9349 1
O2 O 0.0467 0.8019 0.2858 1
O3 O 0.1211 0.6508 0.7566 1
O4 O 0.1469 0.6544 0.4603 1
O5 O 0.1708 0.0204 0.8712 1
O6 O 0.2038 0.0039 0.5857 1
O7 O 0.2833 0.8614 0.0433 1
O8 O 0.2874 0.9876 0.3925 1
O9 O 0.3776 0.3429 0.2644 1
O10 O 0.3809 0.4692 0.6289 1
O11 O 0.4033 0.2731 0.4780 1
O12 O 0.4569 0.3149 0.0863 1
O13 O 0.4964 0.3154 0.8001 1
O14 O 0.5036 0.6846 0.1999 1
O15 O 0.5431 0.6851 0.9137 1
O16 O 0.5967 0.7269 0.5220 1
O17 O 0.6191 0.5308 0.3711 1
O18 O 0.6224 0.6571 0.7356 1
O19 O 0.7126 0.0124 0.6075 1
O20 O 0.7167 0.1386 0.9567 1
O21 O 0.7962 0.9961 0.4143 1
O22 O 0.8292 0.9796 0.1288 1
O23 O 0.8531 0.3456 0.5397 1
O24 O 0.8789 0.3492 0.2434 1
O25 O 0.9533 0.1981 0.7142 1
O26 O 0.9578 0.3212 0.0651 1
F1 F 0.0782 0.6050 0.1408 1
F2 F 0.2553 0.0596 0.1877 1
F3 F 0.7447 0.9404 0.8123 1
F4 F 0.9218 0.3950 0.8592 1
```

Peak list (10 most intense, 10 to 90 degrees two-theta, by intensity)
| two_theta | intensity |
| --- | --- |
| 27.4 | 100.0 |
| 30.0 | 75.8 |
| 34.6 | 61.1 |
| 34.8 | 36.6 |
| 56.2 | 27.7 |
| 39.8 | 24.9 |
| 62.2 | 22.4 |
| 52.1 | 20.7 |
| 54.3 | 17.7 |
| 31.2 | 15.9 |

# 5
Starting from a DFT-relaxed cell (PBE, the Materials Project), the X-ray powder pattern of Ca3Ti2AlSi3O14F was computed for Cu Kα, 1.54184 Å.

Structure:
```
data_Ca3Ti2AlSi3O14F
_chemical_formula_sum 'Ca6 Ti4 Al2 Si6 O28 F2'
_symmetry_space_group_name_H-M 'P 1'
_symmetry_Int_Tables_number 1
_cell_length_a 5.4642
_cell_length_b 7.1045
_cell_length_c 14.9586
_cell_angle_alpha 83.74
_cell_angle_beta 87.22
_cell_angle_gamma 75.57
loop_
_symmetry_equiv_pos_as_xyz
'x,y,z'
loop_
_atom_site_label
_atom_site_type_symbol
_atom_site_fract_x
_atom_site_fract_y
_atom_site_fract_z
_atom_site_occupancy
Ca1 Ca 0.0527 0.3619 0.3904 1
Ca2 Ca 0.2729 0.3078 0.9420 1
Ca3 Ca 0.3933 0.0265 0.7202 1
Ca4 Ca 0.6067 0.9735 0.2798 1
Ca5 Ca 0.7271 0.6922 0.0580 1
Ca6 Ca 0.9473 0.6381 0.6096 1
Ti1 Ti 0.1659 0.8339 0.1693 1
Ti2 Ti 0.1672 0.3332 0.1677 1
Ti3 Ti 0.8328 0.6668 0.8323 1
Ti4 Ti 0.8341 0.1661 0.8307 1
Al1 Al 0.5000 0.0000 0.5000 1
Al2 Al 0.5000 0.5000 0.5000 1
Si1 Si 0.0783 0.8560 0.3993 1
Si2 Si 0.2584 0.8103 0.9394 1
Si3 Si 0.4118 0.5212 0.7224 1
Si4 Si 0.5882 0.4788 0.2776 1
Si5 Si 0.7416 0.1897 0.0606 1
Si6 Si 0.9217 0.1440 0.6007 1
O1 O 0.0473 0.8020 0.2961 1
O2 O 0.0490 0.6784 0.9374 1
O3 O 0.0726 0.6080 0.1457 1
O4 O 0.1308 0.6586 0.7471 1
O5 O 0.1637 0.6476 0.4654 1
O6 O 0.1851 0.0112 0.8693 1
O7 O 0.2109 0.0181 0.5775 1
O8 O 0.2620 0.0618 0.1911 1
O9 O 0.2889 0.9885 0.4018 1
O10 O 0.2908 0.8685 0.0410 1
O11 O 0.3793 0.3468 0.2748 1
O12 O 0.3803 0.4687 0.6198 1
O13 O 0.4615 0.3290 0.0841 1
O14 O 0.4815 0.3197 0.7924 1
O15 O 0.5185 0.6803 0.2076 1
O16 O 0.5385 0.6710 0.9159 1
O17 O 0.6197 0.5313 0.3802 1
O18 O 0.6207 0.6532 0.7252 1
O19 O 0.7092 0.1315 0.9590 1
O20 O 0.7111 0.0115 0.5982 1
O21 O 0.7380 0.9382 0.8089 1
O22 O 0.7891 0.9819 0.4225 1
O23 O 0.8149 0.9888 0.1307 1
O24 O 0.8363 0.3524 0.5346 1
O25 O 0.8692 0.3414 0.2529 1
O26 O 0.9274 0.3920 0.8543 1
O27 O 0.9510 0.3216 0.0626 1
O28 O 0.9527 0.1980 0.7039 1
F1 F 0.4122 0.2726 0.4761 1
F2 F 0.5878 0.7274 0.5239 1
```

Peak list (10 most intense, 10 to 90 degrees two-theta, by intensity)
| two_theta | intensity |
| --- | --- |
| 27.3 | 100.0 |
| 29.7 | 74.1 |
| 34.3 | 62.3 |
| 34.5 | 41.7 |
| 55.7 | 27.1 |
| 61.8 | 21.4 |
| 43.4 | 20.2 |
| 39.4 | 20.2 |
| 64.9 | 19.5 |
| 53.7 | 18.9 |